Simulated powder X-ray diffraction pattern of SrLaFeBiO6 for CuKα, from a PBE+U-relaxed structure.
Lines closer than 0.1° are merged.

Main lines, in order of rising 2θ (15° ≤ 2θ ≤ 90°):
d/Å	I (rel.)
4.797	21.7
2.937	100.0
2.505	15.4
2.077	30.4
1.906	8.0
1.696	40.6
1.469	18.9
1.314	17.9
1.199	6.3
1.110	22.1

Cell and atoms:
```
SrLaFeBiO6
1.0
0.0000 4.1541 4.1541
4.1541 0.0000 4.1541
4.1541 4.1541 0.0000
Sr La Fe Bi O
1 1 1 1 6
direct
0.0000 0.0000 0.0000 Sr
0.5000 0.5000 0.5000 La
0.7500 0.7500 0.7500 Fe
0.2500 0.2500 0.2500 Bi
0.5118 0.5118 0.9882 O
0.5118 0.9882 0.5118 O
0.5118 0.9882 0.9882 O
0.9882 0.5118 0.5118 O
0.9882 0.5118 0.9882 O
0.9882 0.9882 0.5118 O
```